[1]
This entry pairs a crystal structure of Er7AsP5 with its calculated PXRD pattern. Radiation: copper Kα. Structure: the PBE geometry in Alexandria.

Crystal structure
```
data_Er7AsP5
_cell_length_a 3.9589
_cell_length_b 13.0220
_cell_length_c 23.2949
_cell_angle_alpha 90.00
_cell_angle_beta 90.00
_cell_angle_gamma 90.00
_symmetry_space_group_name_H-M 'C m c m'
_symmetry_Int_Tables_number 63
_symmetry_space_group_name_Hall '-C 2c 2'
loop_
_atom_site_label
_atom_site_type_symbol
_atom_site_fract_x
_atom_site_fract_y
_atom_site_fract_z
Er1 Er 0.0000 0.0423 0.2500
Er2 Er 0.0000 0.1364 0.5352
Er3 Er 0.0000 0.3219 0.1756
Er4 Er 0.0000 0.4103 0.6048
As1 As 0.0000 0.2975 0.7500
P1 P 0.0000 0.0437 0.6446
P2 P 0.0000 0.2278 0.0738
P3 P 0.0000 0.5000 0.0000
```

Most intense lines, 2θ = 10–90°, in order of rising 2θ:
index  Position (°2θ)  I (rel.)
0 4 1  27.67  28
1 1 4  28.10  52
0 2 7  30.16  100
1 1 5  30.41  26
1 3 2  31.54  78
1 3 3  32.72  65
1 1 10  45.72  24
2 0 0  45.84  30
1 5 5  46.04  28
2 2 7  55.86  36

---

[2]
This entry pairs a crystal structure of PbBr with its calculated PXRD pattern. Radiation: copper Kα. Structure: the PBE geometry in Alexandria.

Crystal structure
```
data_PbBr
_cell_length_a 14.8158
_cell_length_b 3.9015
_cell_length_c 8.1474
_cell_angle_alpha 90.00
_cell_angle_beta 114.65
_cell_angle_gamma 90.00
_symmetry_space_group_name_H-M 'C 1 m 1'
_symmetry_Int_Tables_number 8
loop_
_symmetry_equiv_pos_as_xyz
'x,y,z'
'x,-y,z'
'x+1/2,y+1/2,z'
'x+1/2,-y+1/2,z'
loop_
_atom_site_label
_atom_site_type_symbol
_atom_site_fract_x
_atom_site_fract_y
_atom_site_fract_z
Pb1 Pb 0.0000 0.0000 0.0000
Pb2 Pb 0.1134 0.0000 0.4654
Pb3 Pb 0.2378 0.5000 0.2836
Br1 Br 0.1196 0.5000 0.8811
Br2 Br 0.3312 0.0000 0.6397
Br3 Br 0.4108 0.0000 0.1908
```

Most intense lines, 2θ = 10–90°, in order of rising 2θ:
index  Position (°2θ)  I (rel.)
0 0 1  11.95  35
2 0 -1  13.59  47
2 0 1  21.22  33
3 1 -1  29.42  100
3 1 0  30.36  48
1 1 -2  31.95  87
2 0 2  32.08  51
4 0 -3  34.98  30
1 1 -3  41.40  25
0 2 0  46.60  55

---

[3]
This entry pairs a crystal structure of La4GaAuO with its calculated PXRD pattern. Radiation: copper Kα. Structure: the PBE geometry in Alexandria.

Crystal structure
```
data_La4GaAuO
_cell_length_a 7.0712
_cell_length_b 15.4062
_cell_length_c 7.0713
_cell_angle_alpha 90.00
_cell_angle_beta 90.00
_cell_angle_gamma 90.00
_symmetry_space_group_name_H-M 'C m c m'
_symmetry_Int_Tables_number 63
_symmetry_space_group_name_Hall '-C 2c 2'
loop_
_atom_site_label
_atom_site_type_symbol
_atom_site_fract_x
_atom_site_fract_y
_atom_site_fract_z
La1 La 0.0000 0.0672 0.2500
La2 La 0.0000 0.4307 0.2500
La3 La 0.2500 0.2500 0.0000
Ga1 Ga 0.0000 0.3743 0.7500
Au1 Au 0.0000 0.1194 0.7500
O1 O 0.0000 0.2518 0.2500
```

Most intense lines, 2θ = 10–90°, in order of rising 2θ:
index  Position (°2θ)  I (rel.)
2 0 0  25.19  26
2 2 0  27.76  100
1 5 1  34.18  49
2 4 0  34.43  91
2 0 2  35.92  88
3 5 1  50.43  33
2 6 2  50.98  29
4 0 0  51.71  31
4 2 2  59.70  24
4 4 2  63.61  31

---

[4]
This entry pairs a crystal structure of LiPuAlF6 with its calculated PXRD pattern. Radiation: copper Kα. Structure: the PBE geometry in Alexandria.

Crystal structure
```
data_LiPuAlF6
_cell_length_a 5.7902
_cell_length_b 5.7902
_cell_length_c 8.2630
_cell_angle_alpha 90.00
_cell_angle_beta 90.00
_cell_angle_gamma 120.00
_symmetry_space_group_name_H-M 'P -3 1 c'
_symmetry_Int_Tables_number 163
_symmetry_space_group_name_Hall '-P 3 2c'
loop_
_atom_site_label
_atom_site_type_symbol
_atom_site_fract_x
_atom_site_fract_y
_atom_site_fract_z
Li1 Li 0.0000 0.0000 0.0000
Pu1 Pu 0.3333 0.6667 0.2500
Al1 Al 0.3333 0.6667 0.7500
F1 F 0.0824 0.3932 0.6242
```

Most intense lines, 2θ = 10–90°, in order of rising 2θ:
index  Position (°2θ)  I (rel.)
1 0 0  17.69  59
1 0 1  20.72  100
0 0 2  21.51  43
1 0 2  27.98  38
1 1 0  30.89  39
1 0 3  37.25  40
2 0 1  37.49  43
1 1 2  37.95  68
3 -1 1  49.33  36
2 -1 4  54.57  31

---

[5]
This entry pairs a crystal structure of PmNd4Tl7 with its calculated PXRD pattern. Radiation: copper Kα. Structure: the PBE geometry in Alexandria.

Crystal structure
```
data_PmNd4Tl7
_cell_length_a 13.4725
_cell_length_b 5.8061
_cell_length_c 11.8854
_cell_angle_alpha 90.00
_cell_angle_beta 123.68
_cell_angle_gamma 90.00
_symmetry_space_group_name_H-M 'C 1 2/m 1'
_symmetry_Int_Tables_number 12
loop_
_symmetry_equiv_pos_as_xyz
'x,y,z'
'-x,-y,-z'
'-x,y,-z'
'x,-y,z'
'x+1/2,y+1/2,z'
'-x+1/2,-y+1/2,-z'
'-x+1/2,y+1/2,-z'
'x+1/2,-y+1/2,z'
loop_
_atom_site_label
_atom_site_type_symbol
_atom_site_fract_x
_atom_site_fract_y
_atom_site_fract_z
Pm1 Pm 0.0000 0.0000 0.0000
Nd1 Nd 0.0887 0.5000 0.7825
Nd2 Nd 0.2295 0.5000 0.3349
Tl1 Tl 0.0000 0.5000 0.0000
Tl2 Tl 0.0812 0.0000 0.3179
Tl3 Tl 0.1308 0.5000 0.5371
Tl4 Tl 0.2184 0.0000 0.8996
```

Most intense lines, 2θ = 10–90°, in order of rising 2θ:
index  Position (°2θ)  I (rel.)
1 1 -2  21.49  36
4 0 -1  27.86  29
4 0 -3  28.12  37
2 0 -4  30.36  61
0 2 0  30.80  96
3 1 1  33.72  100
1 1 3  35.88  26
1 1 -4  36.06  34
5 1 -3  37.13  63
2 2 -4  43.79  45

---

[6]
This entry pairs a crystal structure of TmZn3Pd2 with its calculated PXRD pattern. Radiation: copper Kα. Structure: the PBE geometry in Alexandria.

Crystal structure
```
data_TmZn3Pd2
_cell_length_a 13.7472
_cell_length_b 4.0812
_cell_length_c 8.7097
_cell_angle_alpha 90.00
_cell_angle_beta 122.89
_cell_angle_gamma 90.00
_symmetry_space_group_name_H-M 'C 1 2/m 1'
_symmetry_Int_Tables_number 12
loop_
_symmetry_equiv_pos_as_xyz
'x,y,z'
'-x,-y,-z'
'-x,y,-z'
'x,-y,z'
'x+1/2,y+1/2,z'
'-x+1/2,-y+1/2,-z'
'-x+1/2,y+1/2,-z'
'x+1/2,-y+1/2,z'
loop_
_atom_site_label
_atom_site_type_symbol
_atom_site_fract_x
_atom_site_fract_y
_atom_site_fract_z
Tm1 Tm 0.1293 0.0000 0.0085
Zn1 Zn 0.0591 0.0000 0.3958
Zn2 Zn 0.0837 0.5000 0.7100
Zn3 Zn 0.2281 0.5000 0.5699
Pd1 Pd 0.0705 0.5000 0.2003
Pd2 Pd 0.2074 0.0000 0.7473
```

Most intense lines, 2θ = 10–90°, in order of rising 2θ:
index  Position (°2θ)  I (rel.)
3 1 0  31.97  18
1 1 2  36.85  53
3 1 1  38.71  23
4 0 1  39.29  34
5 1 -2  39.68  100
1 1 -3  40.04  53
4 0 -4  41.72  21
0 2 0  44.39  45
4 2 1  60.76  19
5 3 -2  78.54  13

---

[7]
This entry pairs a crystal structure of Hg2HF8 with its calculated PXRD pattern. Radiation: copper Kα. Structure: the PBE geometry in Alexandria.

Crystal structure
```
data_Hg2HF8
_cell_length_a 8.9150
_cell_length_b 7.9627
_cell_length_c 4.5022
_cell_angle_alpha 90.00
_cell_angle_beta 106.10
_cell_angle_gamma 90.00
_symmetry_space_group_name_H-M 'C 1 2/m 1'
_symmetry_Int_Tables_number 12
loop_
_symmetry_equiv_pos_as_xyz
'x,y,z'
'-x,-y,-z'
'-x,y,-z'
'x,-y,z'
'x+1/2,y+1/2,z'
'-x+1/2,-y+1/2,-z'
'-x+1/2,y+1/2,-z'
'x+1/2,-y+1/2,z'
loop_
_atom_site_label
_atom_site_type_symbol
_atom_site_fract_x
_atom_site_fract_y
_atom_site_fract_z
Hg1 Hg 0.0000 0.2226 0.0000
H1 H 0.0000 0.5000 0.5000
F1 F 0.0000 0.3547 0.5000
F2 F 0.1067 0.0000 0.2693
F3 F 0.2181 0.3756 0.1497
```

Most intense lines, 2θ = 10–90°, in order of rising 2θ:
index  Position (°2θ)  I (rel.)
0 0 1  20.53  100
2 0 0  20.74  86
0 2 0  22.33  60
2 0 -1  24.87  56
0 2 1  30.52  67
2 2 0  30.66  67
2 2 -1  33.67  41
2 2 1  40.44  38
2 4 0  50.52  25
4 0 1  52.64  26

---

[8]
This entry pairs a crystal structure of PWCl9 with its calculated PXRD pattern. Radiation: copper Kα. Structure: the PBE geometry in Alexandria.

Crystal structure
```
data_PWCl9
_cell_length_a 6.8575
_cell_length_b 10.6346
_cell_length_c 11.8794
_cell_angle_alpha 107.37
_cell_angle_beta 103.85
_cell_angle_gamma 91.81
_symmetry_space_group_name_H-M 'P -1'
_symmetry_Int_Tables_number 2
loop_
_symmetry_equiv_pos_as_xyz
'x,y,z'
'-x,-y,-z'
loop_
_atom_site_label
_atom_site_type_symbol
_atom_site_fract_x
_atom_site_fract_y
_atom_site_fract_z
P1 P 0.0955 0.2133 0.3239
W1 W 0.4285 0.2368 0.7890
Cl1 Cl 0.0664 0.8399 0.8573
Cl2 Cl 0.1128 0.1251 0.6799
Cl3 Cl 0.1178 0.7000 0.5903
Cl4 Cl 0.2563 0.6518 0.1042
Cl5 Cl 0.2761 0.3796 0.3374
Cl6 Cl 0.3108 0.4328 0.7725
Cl7 Cl 0.3357 0.2708 0.9689
Cl8 Cl 0.4550 0.9604 0.1948
Cl9 Cl 0.4788 0.7998 0.3920
```

Most intense lines, 2θ = 10–90°, in order of rising 2θ:
index  Position (°2θ)  I (rel.)
1 0 0  13.38  31
0 1 1  13.70  63
1 1 -1  15.74  65
0 0 2  16.20  41
-1 1 1  16.86  53
0 2 0  17.57  100
0 2 -2  19.82  24
1 1 1  21.26  23
1 -3 1  28.18  35
1 1 -4  30.70  24

---

[9]
This entry pairs a crystal structure of CaGaCu2Si with its calculated PXRD pattern. Radiation: copper Kα. Structure: the PBE geometry in Alexandria.

Crystal structure
```
data_CaGaCu2Si
_cell_length_a 4.0216
_cell_length_b 4.0599
_cell_length_c 10.5654
_cell_angle_alpha 90.00
_cell_angle_beta 90.00
_cell_angle_gamma 90.00
_symmetry_space_group_name_H-M 'I m m 2'
_symmetry_Int_Tables_number 44
loop_
_symmetry_equiv_pos_as_xyz
'x,y,z'
'-x,-y,z'
'-x,y,z'
'x,-y,z'
'x+1/2,y+1/2,z+1/2'
'-x+1/2,-y+1/2,z+1/2'
'-x+1/2,y+1/2,z+1/2'
'x+1/2,-y+1/2,z+1/2'
loop_
_atom_site_label
_atom_site_type_symbol
_atom_site_fract_x
_atom_site_fract_y
_atom_site_fract_z
Ca1 Ca 0.0000 0.0000 0.0000
Ga1 Ga 0.0000 0.5000 0.7442
Cu1 Cu 0.0000 0.0000 0.6086
Cu2 Cu 0.0000 0.5000 0.2621
Si1 Si 0.0000 0.0000 0.3874
```

Most intense lines, 2θ = 10–90°, in order of rising 2θ:
index  Position (°2θ)  I (rel.)
0 0 2  16.78  27
1 0 3  33.83  19
1 1 2  35.73  100
0 2 0  44.64  24
2 0 0  45.09  23
1 1 4  46.84  37
0 1 5  48.57  14
1 2 3  57.18  10
2 2 0  65.32  14
1 3 2  76.41  9

---

[10]
This entry pairs a crystal structure of CdAu with its calculated PXRD pattern. Radiation: copper Kα. Structure: the PBE geometry in Alexandria.

Crystal structure
```
data_CdAu
_cell_length_a 8.2698
_cell_length_b 8.2698
_cell_length_c 5.9113
_cell_angle_alpha 90.00
_cell_angle_beta 90.00
_cell_angle_gamma 120.00
_symmetry_space_group_name_H-M 'P 3 1 m'
_symmetry_Int_Tables_number 157
loop_
_symmetry_equiv_pos_as_xyz
'x,y,z'
'-y,x-y,z'
'-x+y,-x,z'
'y,x,z'
'x-y,-y,z'
'-x,-x+y,z'
loop_
_atom_site_label
_atom_site_type_symbol
_atom_site_fract_x
_atom_site_fract_y
_atom_site_fract_z
Cd1 Cd 0.0000 0.0000 0.0000
Cd2 Cd 0.0000 0.3136 0.2680
Cd3 Cd 0.0000 0.6479 0.5621
Cd4 Cd 0.3333 0.6667 0.8482
Au1 Au 0.0000 0.0000 0.5078
Au2 Au 0.0000 0.3116 0.7704
Au3 Au 0.0000 0.6426 0.0614
Au4 Au 0.3333 0.6667 0.3411
```

Most intense lines, 2θ = 10–90°, in order of rising 2θ:
index  Position (°2θ)  I (rel.)
2 -1 1  26.30  16
1 1 2  37.40  83
3 0 0  37.68  100
2 0 2  39.53  16
3 -1 2  45.43  12
4 -2 2  54.14  26
3 2 2  64.94  11
4 1 2  67.83  24
3 3 0  68.02  15
3 0 4  75.69  13

---

[11]
This entry pairs a crystal structure of Li2HoPd3 with its calculated PXRD pattern. Radiation: copper Kα. Structure: the PBE geometry in Alexandria.

Crystal structure
```
data_Li2HoPd3
_cell_length_a 4.3804
_cell_length_b 6.7738
_cell_length_c 6.9182
_cell_angle_alpha 90.00
_cell_angle_beta 108.41
_cell_angle_gamma 90.00
_symmetry_space_group_name_H-M 'P 1 2/m 1'
_symmetry_Int_Tables_number 10
loop_
_symmetry_equiv_pos_as_xyz
'x,y,z'
'-x,-y,-z'
'-x,y,-z'
'x,-y,z'
loop_
_atom_site_label
_atom_site_type_symbol
_atom_site_fract_x
_atom_site_fract_y
_atom_site_fract_z
Li1 Li 0.0000 0.0000 0.0000
Li2 Li 0.0000 0.5000 0.0000
Li3 Li 0.3294 0.0000 0.6586
Ho1 Ho 0.3469 0.5000 0.6931
Pd1 Pd 0.1646 0.2282 0.3291
Pd2 Pd 0.5000 0.2171 0.0000
```

Most intense lines, 2θ = 10–90°, in order of rising 2θ:
index  Position (°2θ)  I (rel.)
0 1 0  13.07  17
1 0 1  28.84  13
1 1 1  31.78  33
1 2 1  39.43  100
2 0 -1  41.24  46
2 3 -1  58.75  12
2 0 -4  59.74  15
2 4 -1  70.27  14
3 2 -3  73.96  28
1 5 1  76.81  10

---

[12]
This entry pairs a crystal structure of DyGa2Ag3 with its calculated PXRD pattern. Radiation: copper Kα. Structure: the PBE geometry in Alexandria.

Crystal structure
```
data_DyGa2Ag3
_cell_length_a 4.3949
_cell_length_b 7.9743
_cell_length_c 13.6861
_cell_angle_alpha 90.00
_cell_angle_beta 90.00
_cell_angle_gamma 90.00
_symmetry_space_group_name_H-M 'I m m m'
_symmetry_Int_Tables_number 71
_symmetry_space_group_name_Hall '-I 2 2'
loop_
_atom_site_label
_atom_site_type_symbol
_atom_site_fract_x
_atom_site_fract_y
_atom_site_fract_z
Dy1 Dy 0.0000 0.0000 0.1332
Ga1 Ga 0.0000 0.3455 0.5000
Ga2 Ga 0.0000 0.5000 0.1937
Ag1 Ag 0.0000 0.1995 0.3259
Ag2 Ag 0.0000 0.3295 0.0000
```

Most intense lines, 2θ = 10–90°, in order of rising 2θ:
index  Position (°2θ)  I (rel.)
1 2 1  30.98  30
0 3 1  34.37  15
0 1 5  34.65  16
1 1 4  35.09  54
1 2 3  36.24  100
0 0 6  39.51  28
2 0 0  41.08  44
1 3 2  41.85  43
2 0 6  58.30  18
1 3 8  68.64  30